No. 1
Structure and simulated powder XRD pattern of TbTiClO3 (a crystal structure in the Materials Project, relaxed with GGA-PBE; a wavelength of 1.5418 Å).

Atomic structure:
Cell lengths 9.852, 3.935, 9.983 Å; angles 90.00, 106.76, 90.00 degrees
Space group C2/m (No. 12)
Asymmetric unit:
Tb  0.222  0.000  0.206 (multiplicity 4)
Ti  0.119  0.500  0.431 (multiplicity 4)
Cl  0.115  0.000  0.906 (multiplicity 4)
O  0.077  0.500  0.624 (multiplicity 4)
O  0.151  0.500  0.254 (multiplicity 4)
O  0.168  0.000  0.435 (multiplicity 4)

The 10 most intense peaks (15 to 90 degrees two-theta), most intense first:
hkl	d [Å]	2θ (°)	I/Imax
1 1 -1	3.528	25.25	100
2 0 0	4.717	18.81	61
3 1 -1	2.520	35.63	50
1 1 -3	2.539	35.35	30
2 0 2	2.958	30.22	26
0 0 2	4.779	18.56	26
2 0 -4	2.433	36.94	25
0 2 0	1.968	46.13	23
2 0 1	3.816	23.31	19
0 0 3	3.186	28.00	19

---

No. 2
Structure and simulated powder XRD pattern of Ho2OsPd (a crystal structure in the Materials Project, relaxed with GGA-PBE; a wavelength of 1.5418 Å).

Atomic structure:
Cell lengths 6.872, 6.872, 6.872 Å; angles 90.00, 90.00, 90.00 degrees
Space group Fm-3m (No. 225)
Asymmetric unit:
Ho  0.250  0.250  0.250 (multiplicity 8)
Os  0.000  0.000  0.000 (multiplicity 4)
Pd  0.000  0.000  0.500 (multiplicity 4)

The 9 most intense peaks (15 to 90 degrees two-theta), most intense first:
hkl	d [Å]	2θ (°)	I/Imax
2 2 0	2.430	37.00	100
4 2 2	1.403	66.68	36
4 0 0	1.718	53.33	18
4 4 0	1.215	78.78	11
1 1 1	3.967	22.41	4
3 1 1	2.072	43.69	2
3 3 1	1.576	58.55	1
5 3 1	1.162	83.17	1
5 1 1	1.322	71.32	1

---

No. 3
Structure and simulated powder XRD pattern of ErZnPd2 (a crystal structure in the Materials Project, relaxed with GGA-PBE; a wavelength of 1.5418 Å).

Atomic structure:
Cell lengths 6.584, 6.584, 6.584 Å; angles 90.00, 90.00, 90.00 degrees
Space group Fm-3m (No. 225)
Asymmetric unit:
Er  0.000  0.000  0.000 (multiplicity 4)
Zn  0.000  0.000  0.500 (multiplicity 4)
Pd  0.250  0.250  0.250 (multiplicity 8)

The 9 most intense peaks (15 to 90 degrees two-theta), most intense first:
hkl	d [Å]	2θ (°)	I/Imax
2 2 0	2.328	38.68	100
4 2 2	1.344	70.01	34
4 0 0	1.646	55.86	17
4 4 0	1.164	82.97	11
1 1 1	3.801	23.40	10
3 1 1	1.985	45.71	5
3 3 1	1.510	61.38	2
5 3 1	1.113	87.70	2
5 1 1	1.267	74.96	2